The following is a theoretical powder diffraction line list of RbCrO3F. It was derived from a GGA+U-relaxed structure, using copper Kα.

Peak list (10 most intense, 2θ from 15° to 90°, by intensity)
index  Position (°2θ)  I_rel
1 0 2  25.34  1000
1 2 1  28.47  719
2 0 0  24.66  592
0 2 1  25.59  425
2 2 1  35.83  419
3 2 1  45.84  213
1 2 2  34.51  212
2 2 3  48.41  192
2 1 2  35.38  163
1 4 2  54.21  163

Cell and atoms:
Lattice parameters (Å, degrees): 7.2203 7.7220 8.0471 90.00 90.00 90.00
Atoms (fractional coordinates):
Rb 0.2347 0.0973 0.1241
Rb 0.2653 0.9027 0.6241
Rb 0.7347 0.4027 0.8759
Rb 0.7653 0.5973 0.3759
Cr 0.2385 0.3922 0.6158
Cr 0.2615 0.6078 0.1158
Cr 0.7385 0.1078 0.3842
Cr 0.7615 0.8922 0.8842
O 0.0520 0.5088 0.6376
O 0.2186 0.2655 0.4557
O 0.2259 0.7242 0.2810
O 0.2741 0.2758 0.7810
O 0.2814 0.7345 0.9557
O 0.4480 0.4912 0.1376
O 0.5520 0.9912 0.3624
O 0.7186 0.2345 0.5443
O 0.7259 0.7758 0.7190
O 0.7741 0.2242 0.2190
O 0.7814 0.7655 0.0443
O 0.9480 0.0088 0.8624
F 0.0686 0.4637 0.0896
F 0.4314 0.5363 0.5896
F 0.5686 0.0363 0.9104
F 0.9314 0.9637 0.4104